No. 1
Structure and computed XRD peak list of MgNb2O5 (a GGA-PBE-relaxed structure; Cu Kα).

Structural model:
```
MgNb2O5
1.0
6.9816 -1.8531 0.0000
6.9816 1.8531 0.0000
-0.0612 0.0000 4.0375
Mg Nb O
1 2 5
Direct
0.0000 0.0000 0.0000
0.3558 0.3558 0.4905
0.6442 0.6442 0.5095
0.1956 0.1956 0.5158
0.3824 0.3824 0.9944
0.5000 0.5000 0.5000
0.6176 0.6176 0.0056
0.8044 0.8044 0.4842
```

The 10 most intense peaks (10 to 90 degrees two-theta), by angle:
Position (°2θ)	I_rel
22.02	100.0
24.86	68.2
25.52	48.6
30.84	76.4
33.37	33.9
33.51	28.5
44.90	37.0
49.17	28.1
52.08	31.1
56.89	23.6

---

No. 2
Structure and computed XRD peak list of MgNb4O10 (a GGA-PBE-relaxed structure; Cu Kα).

Structural model:
```
MgNb4O10
1.0
5.2491 0.0000 0.0000
0.0784 5.5299 0.0000
2.4782 1.9637 6.7499
Mg Nb O
1 4 10
Direct
0.0000 0.0000 0.0000
0.1388 0.6893 0.7287
0.4021 0.8069 0.1846
0.5979 0.1931 0.8154
0.8612 0.3107 0.2713
0.0692 0.0106 0.2445
0.1527 0.4880 0.2806
0.2507 0.3602 0.8764
0.3428 0.8456 0.9044
0.3780 0.7700 0.4735
0.6220 0.2300 0.5265
0.6572 0.1544 0.0956
0.7493 0.6398 0.1236
0.8473 0.5120 0.7194
0.9308 0.9894 0.7555
```

The 10 most intense peaks (10 to 90 degrees two-theta), by angle:
Position (°2θ)	I_rel
13.12	30.0
23.32	93.7
23.58	100.0
25.64	23.6
26.39	92.0
27.06	31.9
33.64	40.5
34.18	31.3
34.53	25.7
51.07	35.0

---

No. 3
Structure and computed XRD peak list of Mg4Nb2O9 (a GGA-PBE-relaxed structure; Cu Kα).

Structural model:
```
Mg4Nb2O9
1.0
5.2255 0.0000 0.0000
-2.6127 4.5254 0.0000
0.0000 0.0000 14.1990
Mg Nb O
8 4 18
Direct
0.3333 0.6667 0.1922
0.3333 0.6667 0.4834
0.3333 0.6667 0.6922
0.3333 0.6667 0.9834
0.6667 0.3333 0.0166
0.6667 0.3333 0.3078
0.6667 0.3333 0.5166
0.6667 0.3333 0.8078
0.0000 0.0000 0.1420
0.0000 0.0000 0.3580
0.0000 0.0000 0.6420
0.0000 0.0000 0.8580
0.0000 0.2902 0.2500
0.0000 0.7098 0.7500
0.0290 0.3476 0.5844
0.0290 0.6814 0.0844
0.2902 0.0000 0.2500
0.2902 0.2902 0.7500
0.3186 0.3476 0.0844
0.3186 0.9710 0.5844
0.3476 0.0290 0.9156
0.3476 0.3186 0.4156
0.6524 0.6814 0.5844
0.6524 0.9710 0.0844
0.6814 0.0290 0.4156
0.6814 0.6524 0.9156
0.7098 0.0000 0.7500
0.7098 0.7098 0.2500
0.9710 0.3186 0.9156
0.9710 0.6524 0.4156
```

The 10 most intense peaks (10 to 90 degrees two-theta), by angle:
Position (°2θ)	I_rel
19.62	95.4
23.31	22.7
32.05	100.0
34.32	51.3
39.39	20.6
42.98	15.4
47.66	40.5
52.15	37.4
60.04	37.4
61.47	29.2